# 1
For K3PtF7, the PBE geometry in Alexandria gives the computed powder diffraction line list in this record (Cu Kα (weighted mean of Kα1 and Kα2)).

Atomic structure:
Unit cell a=8.0408 b=8.0408 c=5.8651 alpha=90.00 beta=90.00 gamma=90.00
Space group P4/mbm (No. 127)
Inequivalent atoms, fractional coordinates:
K (0.0000, 0.0000, 0.0000) x2
K (0.1883, 0.3117, 0.5000) x4
Pt (0.0000, 0.5000, 0.0000) x2
F (0.0000, 0.0000, 0.5000) x2
F (0.1168, 0.6168, 0.2484) x8
F (0.1736, 0.3264, 0.0000) x4

Largest 10 diffraction maxima, by angle, 2θ = 10–90°:
- 15.11 deg, I 40, hkl 0 0 1
- 15.59 deg, I 100, hkl 1 1 0
- 21.77 deg, I 68, hkl 1 1 1
- 22.11 deg, I 37, hkl 2 0 0
- 26.89 deg, I 91, hkl 2 0 1
- 30.48 deg, I 23, hkl 0 0 2
- 31.47 deg, I 47, hkl 2 2 0
- 35.08 deg, I 25, hkl 2 2 1
- 38.59 deg, I 37, hkl 3 1 1
- 44.38 deg, I 35, hkl 2 2 2

***

# 2
For Al4Fe10W, the PBE geometry in Alexandria gives the computed powder diffraction line list in this record (Cu Kα (weighted mean of Kα1 and Kα2)).

Atomic structure:
Unit cell a=8.5688 b=8.5688 c=5.4436 alpha=90.00 beta=90.00 gamma=90.00
Space group I4/mmm (No. 139)
Inequivalent atoms, fractional coordinates:
Al (0.2359, 0.2359, 0.0000) x8
Fe (0.0000, 0.2206, 0.2914) x16
Fe (0.0000, 0.5000, 0.2500) x4
W (0.0000, 0.0000, 0.0000) x2

Largest 10 diffraction maxima, by angle, 2θ = 10–90°:
- 14.62 deg, I 47, hkl 1 1 0
- 19.32 deg, I 31, hkl 1 0 1
- 20.73 deg, I 41, hkl 2 0 0
- 28.48 deg, I 84, hkl 2 1 1
- 41.46 deg, I 57, hkl 3 2 1
- 42.18 deg, I 100, hkl 4 0 0
- 44.76 deg, I 77, hkl 2 2 2
- 47.34 deg, I 58, hkl 3 1 2
- 56.76 deg, I 33, hkl 3 3 2
- 61.19 deg, I 26, hkl 4 4 0